Calculated X-ray diffraction stick pattern
Compound: Tl2Hg9Pb
Radiation: Cu Kα
Structure: a DFT-relaxed cell (PBE, Alexandria)
No peak broadening, texture or thermal motion is included.

Structure:
a = 5.421 Å, b = 5.894 Å, c = 10.640 Å
α = 89.68°, β = 90.00°, γ = 89.79°
Element x y z (fractional)
Tl (0.000, 0.000, 0.167)
Tl (0.000, 0.000, 0.833)
Hg (0.000, 0.500, 0.000)
Hg (0.000, 0.500, 0.337)
Hg (0.000, 0.500, 0.663)
Hg (0.500, 0.000, 0.000)
Hg (0.500, 0.000, 0.334)
Hg (0.500, 0.000, 0.666)
Hg (0.500, 0.500, 0.167)
Hg (0.500, 0.500, 0.500)
Hg (0.500, 0.500, 0.833)
Pb (0.000, 0.000, 0.500)

Most intense lines, 2θ from 10° to 90°, in order of rising 2θ:
30.33 deg, intensity 659; 33.05 deg, intensity 528; 33.75 deg, intensity 1000; 33.88 deg, intensity 990; 45.38 deg, intensity 223; 45.55 deg, intensity 221

***

Calculated X-ray diffraction stick pattern
Compound: Tl3HgPb12
Radiation: Cu Kα
Structure: a DFT-relaxed cell (PBE, Alexandria)
No peak broadening, texture or thermal motion is included.

Structure:
a = 4.937 Å, b = 4.937 Å, c = 20.289 Å
α = 90.00°, β = 90.00°, γ = 90.00°
Element x y z (fractional)
Tl (0.000, 0.000, 0.000)
Tl (0.000, 0.000, 0.253)
Tl (0.000, 0.000, 0.747)
Hg (0.000, 0.000, 0.500)
Pb (0.000, 0.500, 0.127)
Pb (0.000, 0.500, 0.379)
Pb (0.000, 0.500, 0.621)
Pb (0.000, 0.500, 0.873)
Pb (0.500, 0.000, 0.127)
Pb (0.500, 0.000, 0.379)
Pb (0.500, 0.000, 0.621)
Pb (0.500, 0.000, 0.873)
Pb (0.500, 0.500, 0.000)
Pb (0.500, 0.500, 0.253)
Pb (0.500, 0.500, 0.500)
Pb (0.500, 0.500, 0.747)

Most intense lines, 2θ from 10° to 90°, in order of rising 2θ:
31.10 deg, intensity 1000; 35.39 deg, intensity 176; 36.39 deg, intensity 334; 51.67 deg, intensity 246; 60.88 deg, intensity 149; 62.21 deg, intensity 288

***

Calculated X-ray diffraction stick pattern
Compound: Tl3Hg2Pb3
Radiation: Cu Kα
Structure: a DFT-relaxed cell (PBE, Alexandria)
No peak broadening, texture or thermal motion is included.

Structure:
a = 16.266 Å, b = 5.558 Å, c = 5.557 Å
α = 90.00°, β = 108.82°, γ = 90.00°
Element x y z (fractional)
Tl (0.000, 0.000, 0.000)
Tl (0.135, 0.000, 0.632)
Tl (0.365, 0.500, 0.368)
Tl (0.500, 0.500, 0.000)
Tl (0.635, 0.500, 0.632)
Tl (0.865, 0.000, 0.368)
Hg (0.249, 0.000, 0.248)
Hg (0.251, 0.500, 0.752)
Hg (0.749, 0.500, 0.248)
Hg (0.751, 0.000, 0.752)
Pb (0.000, 0.500, 0.500)
Pb (0.133, 0.500, 0.133)
Pb (0.367, 0.000, 0.867)
Pb (0.500, 0.000, 0.500)
Pb (0.633, 0.000, 0.133)
Pb (0.867, 0.500, 0.867)

Most intense lines, 2θ from 10° to 90°, in order of rising 2θ:
32.22 deg, intensity 1000; 32.32 deg, intensity 969; 32.80 deg, intensity 929; 46.20 deg, intensity 376; 57.21 deg, intensity 197; 57.78 deg, intensity 279

***

Calculated X-ray diffraction stick pattern
Compound: Tl6Hg2Pb
Radiation: Cu Kα
Structure: a DFT-relaxed cell (PBE, Alexandria)
No peak broadening, texture or thermal motion is included.

Structure:
a = 10.174 Å, b = 8.788 Å, c = 6.470 Å
α = 82.13°, β = 58.83°, γ = 39.04°
Element x y z (fractional)
Tl (0.021, 0.329, 0.671)
Tl (0.325, 0.675, 0.325)
Tl (0.329, 0.021, 0.979)
Tl (0.671, 0.979, 0.021)
Tl (0.675, 0.325, 0.675)
Tl (0.979, 0.671, 0.329)
Hg (0.349, 0.349, 0.651)
Hg (0.651, 0.651, 0.349)
Pb (0.000, 0.000, 0.000)

Most intense lines, 2θ from 10° to 90°, in order of rising 2θ:
32.08 deg, intensity 271; 32.22 deg, intensity 273; 32.35 deg, intensity 1000; 46.11 deg, intensity 180; 57.35 deg, intensity 209; 57.54 deg, intensity 158

***

Calculated X-ray diffraction stick pattern
Compound: TlHgPb2
Radiation: Cu Kα
Structure: a DFT-relaxed cell (PBE, Alexandria)
No peak broadening, texture or thermal motion is included.

Structure:
a = 3.465 Å, b = 4.961 Å, c = 6.960 Å
α = 90.00°, β = 90.00°, γ = 90.00°
Element x y z (fractional)
Tl (0.000, 0.000, 0.000)
Hg (0.500, 0.500, 0.231)
Pb (0.000, 0.000, 0.483)
Pb (0.500, 0.500, 0.732)

Most intense lines, 2θ from 10° to 90°, in order of rising 2θ:
31.45 deg, intensity 1000; 36.21 deg, intensity 174; 36.60 deg, intensity 335; 52.43 deg, intensity 244; 62.18 deg, intensity 148; 62.77 deg, intensity 143

***

Calculated X-ray diffraction stick pattern
Compound: Tl2Hg3Pb7
Radiation: Cu Kα
Structure: a DFT-relaxed cell (PBE, Alexandria)
No peak broadening, texture or thermal motion is included.

Structure:
a = 6.085 Å, b = 3.470 Å, c = 17.564 Å
α = 90.00°, β = 99.46°, γ = 90.00°
Element x y z (fractional)
Tl (0.165, 0.000, 0.334)
Tl (0.835, 0.000, 0.666)
Hg (0.000, 0.000, 0.000)
Hg (0.344, 0.500, 0.689)
Hg (0.656, 0.500, 0.311)
Pb (0.097, 0.500, 0.839)
Pb (0.265, 0.000, 0.534)
Pb (0.391, 0.000, 0.161)
Pb (0.500, 0.500, 0.000)
Pb (0.609, 0.000, 0.839)
Pb (0.735, 0.000, 0.466)
Pb (0.903, 0.500, 0.161)

Most intense lines, 2θ from 10° to 90°, in order of rising 2θ:
30.63 deg, intensity 542; 30.97 deg, intensity 814; 32.45 deg, intensity 501; 34.78 deg, intensity 1000; 34.92 deg, intensity 452; 38.00 deg, intensity 436

***

Calculated X-ray diffraction stick pattern
Compound: Tl3Hg6Pb
Radiation: Cu Kα
Structure: a DFT-relaxed cell (PBE, Alexandria)
No peak broadening, texture or thermal motion is included.

Structure:
a = 3.608 Å, b = 3.608 Å, c = 25.770 Å
α = 90.00°, β = 90.00°, γ = 120.00°
Element x y z (fractional)
Tl (0.000, 0.000, 0.000)
Tl (0.000, 0.000, 0.301)
Tl (0.000, 0.000, 0.699)
Hg (0.333, 0.667, 0.102)
Hg (0.333, 0.667, 0.400)
Hg (0.333, 0.667, 0.803)
Hg (0.667, 0.333, 0.197)
Hg (0.667, 0.333, 0.600)
Hg (0.667, 0.333, 0.898)
Pb (0.000, 0.000, 0.500)

Most intense lines, 2θ from 10° to 90°, in order of rising 2θ:
30.44 deg, intensity 1000; 31.83 deg, intensity 702; 35.53 deg, intensity 490; 37.76 deg, intensity 607; 50.60 deg, intensity 525; 62.89 deg, intensity 545

***

Calculated X-ray diffraction stick pattern
Compound: Tl9HgPb2
Radiation: Cu Kα
Structure: a DFT-relaxed cell (PBE, Alexandria)
No peak broadening, texture or thermal motion is included.

Structure:
a = 4.838 Å, b = 4.838 Å, c = 15.721 Å
α = 90.00°, β = 90.00°, γ = 90.00°
Element x y z (fractional)
Tl (0.000, 0.000, 0.000)
Tl (0.000, 0.000, 0.335)
Tl (0.000, 0.000, 0.665)
Tl (0.000, 0.500, 0.168)
Tl (0.000, 0.500, 0.500)
Tl (0.000, 0.500, 0.832)
Tl (0.500, 0.000, 0.168)
Tl (0.500, 0.000, 0.500)
Tl (0.500, 0.000, 0.832)
Hg (0.500, 0.500, 0.000)
Pb (0.500, 0.500, 0.329)
Pb (0.500, 0.500, 0.671)

Most intense lines, 2θ from 10° to 90°, in order of rising 2θ:
31.22 deg, intensity 1000; 34.22 deg, intensity 196; 37.17 deg, intensity 317; 51.41 deg, intensity 253; 63.33 deg, intensity 274; 84.08 deg, intensity 190

***

Calculated X-ray diffraction stick pattern
Compound: Tl3Hg3Pb5
Radiation: Cu Kα
Structure: a DFT-relaxed cell (PBE, Alexandria)
No peak broadening, texture or thermal motion is included.

Structure:
a = 10.762 Å, b = 10.762 Å, c = 3.480 Å
α = 90.00°, β = 90.00°, γ = 120.00°
Element x y z (fractional)
Tl (0.000, 0.407, 0.000)
Tl (0.407, 0.000, 0.000)
Tl (0.593, 0.593, 0.000)
Hg (0.000, 0.166, 0.500)
Hg (0.166, 0.000, 0.500)
Hg (0.834, 0.834, 0.500)
Pb (0.000, 0.669, 0.500)
Pb (0.331, 0.331, 0.500)
Pb (0.333, 0.667, 0.500)
Pb (0.667, 0.333, 0.500)
Pb (0.669, 0.000, 0.500)

Most intense lines, 2θ from 10° to 90°, in order of rising 2θ:
28.74 deg, intensity 886; 30.60 deg, intensity 1000; 34.70 deg, intensity 990; 36.29 deg, intensity 787; 42.47 deg, intensity 881; 65.85 deg, intensity 473

***

Calculated X-ray diffraction stick pattern
Compound: TlHgPb2
Radiation: Cu Kα
Structure: a DFT-relaxed cell (PBE, Alexandria)
No peak broadening, texture or thermal motion is included.

Structure:
a = 5.206 Å, b = 4.419 Å, c = 10.550 Å
α = 90.00°, β = 90.00°, γ = 90.00°
Element x y z (fractional)
Tl (0.250, 0.000, 0.121)
Tl (0.750, 0.000, 0.879)
Hg (0.250, 0.500, 0.874)
Hg (0.750, 0.500, 0.126)
Pb (0.250, 0.000, 0.630)
Pb (0.250, 0.500, 0.383)
Pb (0.750, 0.000, 0.370)
Pb (0.750, 0.500, 0.617)

Most intense lines, 2θ from 10° to 90°, in order of rising 2θ:
31.51 deg, intensity 1000; 33.99 deg, intensity 203; 34.45 deg, intensity 199; 49.18 deg, intensity 147; 59.28 deg, intensity 166; 59.88 deg, intensity 166

***

Calculated X-ray diffraction stick pattern
Compound: Tl5Hg6Pb2
Radiation: Cu Kα
Structure: a DFT-relaxed cell (PBE, Alexandria)
No peak broadening, texture or thermal motion is included.

Structure:
a = 6.394 Å, b = 8.309 Å, c = 8.491 Å
α = 118.43°, β = 100.64°, γ = 97.29°
Element x y z (fractional)
Tl (0.000, 0.000, 0.000)
Tl (0.210, 0.382, 0.923)
Tl (0.403, 0.312, 0.537)
Tl (0.597, 0.688, 0.463)
Tl (0.790, 0.618, 0.077)
Hg (0.057, 0.448, 0.310)
Hg (0.319, 0.848, 0.225)
Hg (0.465, 0.776, 0.865)
Hg (0.535, 0.224, 0.135)
Hg (0.681, 0.152, 0.775)
Hg (0.943, 0.552, 0.690)
Pb (0.159, 0.904, 0.592)
Pb (0.841, 0.096, 0.408)

Most intense lines, 2θ from 10° to 90°, in order of rising 2θ:
32.02 deg, intensity 499; 32.27 deg, intensity 1000; 32.77 deg, intensity 491; 33.16 deg, intensity 450; 34.00 deg, intensity 442; 44.47 deg, intensity 205

***

Calculated X-ray diffraction stick pattern
Compound: Tl4Hg3Pb2
Radiation: Cu Kα
Structure: a DFT-relaxed cell (PBE, Alexandria)
No peak broadening, texture or thermal motion is included.

Structure:
a = 3.496 Å, b = 3.496 Å, c = 25.304 Å
α = 90.00°, β = 90.00°, γ = 120.00°
Element x y z (fractional)
Tl (0.000, 0.000, 0.000)
Tl (0.000, 0.000, 0.209)
Tl (0.333, 0.667, 0.325)
Tl (0.333, 0.667, 0.540)
Hg (0.000, 0.000, 0.432)
Hg (0.333, 0.667, 0.105)
Hg (0.333, 0.667, 0.763)
Pb (0.000, 0.000, 0.657)
Pb (0.000, 0.000, 0.869)

Most intense lines, 2θ from 10° to 90°, in order of rising 2θ:
29.51 deg, intensity 488; 31.83 deg, intensity 468; 32.80 deg, intensity 673; 34.52 deg, intensity 1000; 52.34 deg, intensity 392; 62.58 deg, intensity 419

***

Calculated X-ray diffraction stick pattern
Compound: Tl12Hg6Pb
Radiation: Cu Kα
Structure: a DFT-relaxed cell (PBE, Alexandria)
No peak broadening, texture or thermal motion is included.

Structure:
a = 8.532 Å, b = 8.532 Å, c = 8.532 Å
α = 100.54°, β = 100.54°, γ = 100.54°
Element x y z (fractional)
Tl (0.151, 0.156, 0.418)
Tl (0.156, 0.418, 0.151)
Tl (0.167, 0.586, 0.631)
Tl (0.369, 0.833, 0.414)
Tl (0.414, 0.369, 0.833)
Tl (0.418, 0.151, 0.156)
Tl (0.582, 0.849, 0.844)
Tl (0.586, 0.631, 0.167)
Tl (0.631, 0.167, 0.586)
Tl (0.833, 0.414, 0.369)
Tl (0.844, 0.582, 0.849)
Tl (0.849, 0.844, 0.582)
Hg (0.012, 0.250, 0.757)
Hg (0.243, 0.988, 0.750)
Hg (0.250, 0.757, 0.012)
Hg (0.750, 0.243, 0.988)
Hg (0.757, 0.012, 0.250)
Hg (0.988, 0.750, 0.243)
Pb (0.500, 0.500, 0.500)

Most intense lines, 2θ from 10° to 90°, in order of rising 2θ:
31.41 deg, intensity 580; 32.21 deg, intensity 631; 32.41 deg, intensity 1000; 32.86 deg, intensity 517; 35.07 deg, intensity 438; 35.67 deg, intensity 360